For P2W2O11, a cell relaxed with GGA+U gives the calculated X-ray diffraction stick pattern in this record (a wavelength of 1.5418 Å).

Structural model:
Cell: 16.1341 6.3660 8.1698 Å, 90.00 90.00 90.00°
Space group Pnma (No. 62)
One atom of each set of equivalent atoms:
P: 0.0846 0.2500 0.0900 (multiplicity 4)
P: 0.2438 0.7500 0.9974 (multiplicity 4)
W: 0.0627 0.7500 0.2293 (multiplicity 4)
W: 0.2000 0.7500 0.5901 (multiplicity 4)
O: 0.0089 0.2500 0.6132 (multiplicity 4)
O: 0.0192 0.2500 0.9536 (multiplicity 4)
O: 0.0693 0.0575 0.2029 (multiplicity 8)
O: 0.1052 0.7500 0.6886 (multiplicity 4)
O: 0.1521 0.7500 0.0346 (multiplicity 4)
O: 0.1598 0.7500 0.3688 (multiplicity 4)
O: 0.1714 0.2500 0.0161 (multiplicity 4)
O: 0.2114 0.0579 0.5756 (multiplicity 8)
O: 0.2397 0.2500 0.3112 (multiplicity 4)

Principal peaks in the range 2θ = 15–90°, low angle first:
2θ/deg	d_spacing	I_rel	h k l
17.74	4.999	86.4	2 1 0
18.51	4.795	42.5	1 1 1
20.84	4.263	100.0	2 1 1
22.45	3.960	44.8	1 0 2
24.43	3.644	44.6	2 0 2
24.61	3.617	71.5	4 0 1
28.03	3.183	69.7	0 2 0
34.27	2.616	44.6	4 1 2
35.87	2.504	28.6	0 1 3
36.24	2.479	29.8	6 1 0